Simulated powder X-ray diffraction pattern of Hf6Ni16Ge7 for Cu Kα (weighted mean of Kα1 and Kα2), from a crystal structure in the Materials Project, relaxed with PBE.

Structural model:
a = 11.603 Å, b = 11.603 Å, c = 11.603 Å
α = 90.00°, β = 90.00°, γ = 90.00°
Space group Fm-3m (No. 225)
Asymmetric unit:
Hf 0.000 0.000 0.205 [24 per cell]
Ni 0.118 0.118 0.382 [32 per cell]
Ni 0.168 0.168 0.168 [32 per cell]
Ge 0.000 0.000 0.500 [4 per cell]
Ge 0.000 0.250 0.250 [24 per cell]

Most intense lines, 2θ = 10–90°, low angle first:
| two_theta | d [Å] | I_rel | index |
| --- | --- | --- | --- |
| 30.8 | 2.901 | 15 | 4 0 0 |
| 33.7 | 2.662 | 20 | 3 3 1 |
| 38.0 | 2.368 | 33 | 4 2 2 |
| 40.4 | 2.233 | 90 | 3 3 3 |
| 44.2 | 2.051 | 100 | 4 4 0 |
| 47.0 | 1.934 | 15 | 6 0 0 |
| 61.4 | 1.511 | 20 | 7 3 1 |
| 68.6 | 1.367 | 22 | 8 2 2 |
| 82.8 | 1.166 | 16 | 9 3 3 |
| 86.8 | 1.122 | 19 | 7 7 3 |

Simulated powder X-ray diffraction pattern of HfNiGe for Cu Kα (weighted mean of Kα1 and Kα2), from a crystal structure in the Materials Project, relaxed with PBE.

Structural model:
a = 6.496 Å, b = 3.873 Å, c = 7.286 Å
α = 90.00°, β = 90.00°, γ = 90.00°
Space group Pnma (No. 62)
Asymmetric unit:
Hf 0.016 0.250 0.188 [4 per cell]
Ni 0.143 0.250 0.563 [4 per cell]
Ge 0.231 0.750 0.385 [4 per cell]

Most intense lines, 2θ = 10–90°, low angle first:
| two_theta | d [Å] | I_rel | index |
| --- | --- | --- | --- |
| 26.1 | 3.420 | 22 | 0 1 1 |
| 36.6 | 2.457 | 64 | 1 1 2 |
| 37.1 | 2.424 | 24 | 2 0 2 |
| 38.2 | 2.355 | 100 | 2 1 1 |
| 39.6 | 2.275 | 29 | 1 0 3 |
| 43.6 | 2.076 | 14 | 3 0 1 |
| 44.0 | 2.058 | 27 | 0 1 3 |
| 46.9 | 1.937 | 30 | 0 2 0 |
| 63.0 | 1.475 | 15 | 1 2 3 |
| 72.0 | 1.312 | 18 | 3 1 4 |